Record 1
Structure and theoretical powder XRD pattern of ZrIr2 (DFT lattice parameters and positions (PBE); Cu Kα X-rays).
Intensities are scaled so that the largest is 1000.

Structure:
```
6
Lattice="0.0000 3.7187 3.7187 3.7187 0.0000 3.7187 3.7187 3.7187 0.0000" Properties=species:S:1:pos:R:3 pbc="T T T"
Zr 0.9297 0.9297 0.9297
Zr 6.5077 6.5077 6.5077
Ir 3.7187 1.8593 1.8593
Ir 1.8593 3.7187 1.8593
Ir 1.8593 1.8593 3.7187
Ir 3.7187 3.7187 3.7187
```

Principal peaks in the range 2θ = 15–90°, by angle:
- 2θ = 20.69°, I 410
- 2θ = 40.22°, I 1000
- 2θ = 42.09°, I 649
- 2θ = 48.99°, I 181
- 2θ = 65.18°, I 322
- 2θ = 71.80°, I 312
- 2θ = 85.64°, I 116
- 2θ = 86.88°, I 257



Record 2
Structure and theoretical powder XRD pattern of Zr5Ir3 (DFT lattice parameters and positions (PBE); Cu Kα X-rays).
Intensities are scaled so that the largest is 1000.

Structure:
```
48
Lattice="7.9902 0.0000 0.0000 -3.9951 6.9197 0.0000 0.0000 0.0000 17.2255" Properties=species:S:1:pos:R:3 pbc="T T T"
Zr -0.9915 1.7173 5.7418
Zr -3.0036 5.2024 14.3546
Zr -0.8960 1.6449 17.1056
Zr -3.0186 5.3212 2.9909
Zr 0.8960 1.6449 8.7327
Zr -2.1225 6.8732 11.3637
Zr 1.8726 0.0465 5.8618
Zr 0.9765 1.5985 14.2347
Zr 1.9830 0.0000 0.0000
Zr 0.9915 1.7173 2.8709
Zr -0.4894 4.3306 10.0482
Zr -0.1535 4.5245 1.4355
Zr 0.1535 4.5245 7.1773
Zr 0.0000 4.7903 12.9192
Zr 0.4894 4.3306 15.7901
Zr 0.0000 5.1783 4.3064
Zr 3.9951 1.7414 12.9192
Zr 3.5057 2.5891 7.1773
Zr 3.9951 2.1294 4.3064
Zr 3.8416 2.3952 15.7901
Zr 4.1486 2.3952 10.0482
Zr 4.4845 2.5891 1.4355
Zr 6.0072 0.0000 8.6128
Zr 3.0036 5.2024 11.4837
Zr 3.0186 5.3212 5.6219
Zr 2.1225 6.8732 14.4746
Zr 6.1176 0.0465 2.7510
Zr 3.0991 5.2748 0.1199
Zr 7.0137 1.5985 11.6036
Zr 4.8912 5.2748 8.4928
Ir -1.5399 2.6672 14.3546
Ir -2.4552 4.2526 5.7418
Ir -1.4970 2.8588 3.2710
Ir -2.2678 4.1938 16.8255
Ir 3.0798 0.0000 8.6128
Ir 1.5399 2.6672 11.4837
Ir 1.4970 2.8588 5.3418
Ir -0.7708 6.7868 14.7547
Ir 3.2244 0.1330 2.4708
Ir 1.7273 2.7259 0.4001
Ir 2.2678 4.1938 9.0128
Ir 0.7708 6.7868 11.0836
Ir 4.7659 0.1330 6.1419
Ir 2.4981 4.0609 13.9545
Ir 4.9104 0.0000 0.0000
Ir 2.4552 4.2526 2.8709
Ir 6.2629 2.7259 8.2127
Ir 5.4921 4.0609 11.8838
```

Principal peaks in the range 2θ = 15–90°, by angle:
- 2θ = 27.19°, I 280
- 2θ = 31.15°, I 210
- 2θ = 34.29°, I 162
- 2θ = 37.80°, I 1000
- 2θ = 38.62°, I 493
- 2θ = 39.05°, I 319
- 2θ = 44.04°, I 165
- 2θ = 50.12°, I 266



Record 3
Structure and theoretical powder XRD pattern of Zr3Ir (DFT lattice parameters and positions (PBE); Cu Kα X-rays).
Intensities are scaled so that the largest is 1000.

Structure:
```
16
Lattice="-5.4142 5.4142 2.8638 5.4142 -5.4142 2.8638 5.4142 5.4142 -2.8638" Properties=species:S:1:pos:R:3 pbc="T T T"
Zr 3.8361 0.0000 0.0000
Zr 6.9923 0.0000 0.0000
Zr 2.2305 -2.2305 1.4449
Zr 4.3781 4.3781 -1.5044
Zr 1.0361 1.0361 1.3595
Zr 0.0000 3.8361 0.0000
Zr -2.2305 2.2305 1.4449
Zr 3.1837 3.1837 1.4189
Zr 0.0000 6.9923 0.0000
Zr 1.0361 -1.0361 4.3682
Zr -1.0361 1.0361 4.3682
Zr 2.2305 2.2305 4.2827
Ir 5.4142 2.2514 0.0000
Ir 2.2514 5.4142 0.0000
Ir 3.1628 0.0000 2.8638
Ir 0.0000 3.1628 2.8638
```

Principal peaks in the range 2θ = 15–90°, by angle:
- 2θ = 24.07°, I 456
- 2θ = 33.41°, I 678
- 2θ = 33.70°, I 674
- 2θ = 35.16°, I 728
- 2θ = 37.68°, I 703
- 2θ = 39.29°, I 1000
- 2θ = 42.57°, I 402
- 2θ = 47.95°, I 444



Record 4
Structure and theoretical powder XRD pattern of Zr4Ir (DFT lattice parameters and positions (PBE); Cu Kα X-rays).
Intensities are scaled so that the largest is 1000.

Structure:
```
10
Lattice="0.0000 5.0432 5.0432 5.0432 0.0000 5.0432 5.0432 5.0432 0.0000" Properties=species:S:1:pos:R:3 pbc="T T T"
Zr 7.7418 4.8663 4.8663
Zr 2.3447 2.3447 2.3447
Zr 5.2202 5.2202 2.3447
Zr 5.2202 2.3447 5.2202
Zr 4.8663 7.7418 4.8663
Zr 4.8663 4.8663 7.7418
Zr 7.7418 7.7418 7.7418
Zr 2.3447 5.2202 5.2202
Ir 3.7824 3.7824 3.7824
Ir 6.3040 6.3040 6.3040
```

Principal peaks in the range 2θ = 15–90°, by angle:
- 2θ = 24.97°, I 886
- 2θ = 29.37°, I 341
- 2θ = 30.71°, I 1000
- 2θ = 38.92°, I 671
- 2θ = 43.98°, I 279
- 2θ = 46.80°, I 545
- 2θ = 51.23°, I 711
- 2θ = 60.93°, I 262



Record 5
Structure and theoretical powder XRD pattern of Zr5Ir3 (DFT lattice parameters and positions (PBE); Cu Kα X-rays).
Intensities are scaled so that the largest is 1000.

Structure:
```
16
Lattice="8.1175 0.0000 0.0000 -4.0588 7.0300 0.0000 0.0000 0.0000 5.5221" Properties=species:S:1:pos:R:3 pbc="T T T"
Zr -0.9895 1.7139 1.3805
Zr -3.0692 5.3161 4.1416
Zr 1.9791 0.0000 1.3805
Zr 0.9895 1.7139 4.1416
Zr 0.0000 4.6867 0.0000
Zr 0.0000 4.6867 2.7610
Zr 4.0588 2.3433 0.0000
Zr 4.0588 2.3433 2.7610
Zr 6.1385 0.0000 4.1416
Zr 3.0692 5.3161 1.3805
Ir -1.6064 2.7823 4.1416
Ir -2.4524 4.2477 1.3805
Ir 3.2127 0.0000 4.1416
Ir 1.6064 2.7823 1.3805
Ir 4.9048 0.0000 1.3805
Ir 2.4524 4.2477 4.1416
```

Principal peaks in the range 2θ = 15–90°, by angle:
- 2θ = 27.27°, I 325
- 2θ = 32.43°, I 285
- 2θ = 37.57°, I 1000
- 2θ = 38.41°, I 435
- 2θ = 39.47°, I 629
- 2θ = 49.58°, I 331
- 2θ = 61.26°, I 238
- 2θ = 75.95°, I 210



Record 6
Structure and theoretical powder XRD pattern of K (DFT lattice parameters and positions (PBE); Cu Kα X-rays).
Intensities are scaled so that the largest is 1000.

Structure:
```
8
Lattice="10.8172 0.0000 0.0000 0.0000 5.4319 0.0000 0.0000 0.0000 10.9220" Properties=species:S:1:pos:R:3 pbc="T T T"
K 0.3230 1.3580 1.7615
K 1.6623 1.3580 6.1998
K 3.7464 4.0739 0.7388
K 5.0856 4.0739 7.2224
K 5.7316 1.3580 3.6995
K 7.0709 1.3580 10.1831
K 9.1550 4.0739 4.7221
K 10.4943 4.0739 9.1605
```

Principal peaks in the range 2θ = 15–90°, by angle:
- 2θ = 18.21°, I 330
- 2θ = 20.02°, I 275
- 2θ = 23.20°, I 473
- 2θ = 24.56°, I 1000
- 2θ = 25.82°, I 221
- 2θ = 26.02°, I 294
- 2θ = 29.56°, I 171
- 2θ = 44.86°, I 220